Entry 1:
Calculated powder diffraction line list
Compound: Co2AuCl
Radiation: Cu Kα X-rays
Structure: a crystal structure in Alexandria, relaxed with PBE
Intensities are scaled so that the largest is 100.

Main lines, sorted by position (2θ from 10° to 90°):
- 2θ 12.4, intensity 100
- 2θ 24.9, intensity 25
- 2θ 29.3, intensity 32
- 2θ 31.9, intensity 60
- 2θ 38.8, intensity 84
- 2θ 41.8, intensity 60
- 2θ 48.4, intensity 55
- 2θ 74.4, intensity 24

Crystal structure
```
data_Co2AuCl
_chemical_formula_sum 'Co2 Au1 Cl1'
_space_group_name_H-M_alt 'P 4 m m'
_space_group_IT_number 99
_cell_length_a 3.053
_cell_length_b 3.053
_cell_length_c 7.153
_cell_angle_alpha 90.00
_cell_angle_beta 90.00
_cell_angle_gamma 90.00
loop_
_space_group_symop_operation_xyz
'x,y,z'
'-y,x,z'
'-x,-y,z'
'y,-x,z'
'-x,y,z'
'y,x,z'
'x,-y,z'
'-y,-x,z'
loop_
_atom_site_label
_atom_site_type_symbol
_atom_site_fract_x
_atom_site_fract_y
_atom_site_fract_z
Co1 Co 0.000 0.000 0.000
Co2 Co 0.500 0.500 0.157
Au1 Au 0.000 0.000 0.384
Cl1 Cl 0.500 0.500 0.809
```

---

Entry 2:
Calculated powder diffraction line list
Compound: AcCd2InPt2
Radiation: Cu Kα X-rays
Structure: a crystal structure in Alexandria, relaxed with PBE
Intensities are scaled so that the largest is 100.

Main lines, sorted by position (2θ from 10° to 90°):
- 2θ 26.3, intensity 27
- 2θ 31.4, intensity 19
- 2θ 31.8, intensity 100
- 2θ 33.1, intensity 51
- 2θ 35.7, intensity 55
- 2θ 39.0, intensity 61
- 2θ 40.9, intensity 23
- 2θ 49.4, intensity 33

Crystal structure
```
data_AcCd2InPt2
_chemical_formula_sum 'Ac2 Cd4 In2 Pt4'
_space_group_name_H-M_alt 'P n n m'
_space_group_IT_number 58
_cell_length_a 7.531
_cell_length_b 7.800
_cell_length_c 5.031
_cell_angle_alpha 90.00
_cell_angle_beta 90.00
_cell_angle_gamma 90.00
loop_
_space_group_symop_operation_xyz
'x,y,z'
'-x,-y,-z'
'-x,-y,z'
'x,y,-z'
'x+1/2,-y+1/2,-z+1/2'
'-x+1/2,y+1/2,z+1/2'
'-x+1/2,y+1/2,-z+1/2'
'x+1/2,-y+1/2,z+1/2'
loop_
_atom_site_label
_atom_site_type_symbol
_atom_site_fract_x
_atom_site_fract_y
_atom_site_fract_z
Ac1 Ac 0.000 0.000 0.000
Cd1 Cd 0.231 0.365 0.000
In1 In 0.000 0.500 0.500
Pt1 Pt 0.182 0.208 0.500
```

---

Entry 3:
Calculated powder diffraction line list
Compound: Ba3Sn9Bi2
Radiation: Cu Kα X-rays
Structure: a crystal structure in Alexandria, relaxed with PBE
Intensities are scaled so that the largest is 100.

Main lines, sorted by position (2θ from 10° to 90°):
- 2θ 28.7, intensity 100
- 2θ 31.9, intensity 25
- 2θ 32.2, intensity 24
- 2θ 32.6, intensity 28
- 2θ 33.6, intensity 49
- 2θ 36.2, intensity 16
- 2θ 47.5, intensity 22
- 2θ 57.2, intensity 31

Crystal structure
```
data_Ba3Sn9Bi2
_chemical_formula_sum 'Ba6 Sn18 Bi4'
_space_group_name_H-M_alt 'I m m m'
_space_group_IT_number 71
_space_group_name_Hall '-I 2 2'
_cell_length_a 5.327
_cell_length_b 10.653
_cell_length_c 16.493
_cell_angle_alpha 90.00
_cell_angle_beta 90.00
_cell_angle_gamma 90.00
loop_
_atom_site_label
_atom_site_type_symbol
_atom_site_fract_x
_atom_site_fract_y
_atom_site_fract_z
Ba1 Ba 0.000 0.000 0.000
Ba2 Ba 0.000 0.000 0.308
Sn1 Sn 0.000 0.273 0.137
Sn2 Sn 0.000 0.358 0.324
Sn3 Sn 0.000 0.500 0.000
Bi1 Bi 0.000 0.223 0.500
```

---

Entry 4:
Calculated powder diffraction line list
Compound: NpRhIO6
Radiation: Cu Kα X-rays
Structure: a crystal structure in Alexandria, relaxed with PBE
Intensities are scaled so that the largest is 100.

Main lines, sorted by position (2θ from 10° to 90°):
- 2θ 18.2, intensity 26
- 2θ 20.7, intensity 25
- 2θ 26.1, intensity 100
- 2θ 32.4, intensity 64
- 2θ 37.4, intensity 31
- 2θ 42.0, intensity 26
- 2θ 49.9, intensity 50
- 2θ 54.0, intensity 27

Crystal structure
```
data_NpRhIO6
_chemical_formula_sum 'Np2 Rh2 I2 O12'
_space_group_name_H-M_alt 'P 63/m m c'
_space_group_IT_number 194
_space_group_name_Hall '-P 6c 2c'
_cell_length_a 5.5331
_cell_length_b 5.5331
_cell_length_c 9.7423
_cell_angle_alpha 90.00
_cell_angle_beta 90.00
_cell_angle_gamma 120.00
loop_
_atom_site_label
_atom_site_type_symbol
_atom_site_fract_x
_atom_site_fract_y
_atom_site_fract_z
Np1 Np 0.3333 0.6667 0.2500
Rh1 Rh 0.0000 0.0000 0.0000
I1 I 0.3333 0.6667 0.7500
O1 O 0.1675 0.3350 0.1142
```

---

Entry 5:
Calculated powder diffraction line list
Compound: Nd4Pa3Se8
Radiation: Cu Kα X-rays
Structure: a crystal structure in Alexandria, relaxed with PBE
Intensities are scaled so that the largest is 100.

Main lines, sorted by position (2θ from 10° to 90°):
- 2θ 11.0, intensity 41
- 2θ 25.1, intensity 38
- 2θ 26.3, intensity 52
- 2θ 30.0, intensity 100
- 2θ 36.9, intensity 40
- 2θ 39.7, intensity 74
- 2θ 45.9, intensity 61
- 2θ 66.2, intensity 27

Crystal structure
```
data_Nd4Pa3Se8
_chemical_formula_sum 'Nd12 Pa9 Se24'
_space_group_name_H-M_alt 'R -3 m'
_space_group_IT_number 166
_space_group_name_Hall '-R 3 2"'
_cell_length_a 7.9035
_cell_length_b 7.9035
_cell_length_c 24.2275
_cell_angle_alpha 90.00
_cell_angle_beta 90.00
_cell_angle_gamma 120.00
loop_
_atom_site_label
_atom_site_type_symbol
_atom_site_fract_x
_atom_site_fract_y
_atom_site_fract_z
Nd1 Nd 0.0000 0.0000 0.0000
Nd2 Nd 0.0000 0.0000 0.1469
Nd3 Nd 0.0000 0.0000 0.5000
Pa1 Pa 0.0000 0.5000 0.0000
Se1 Se 0.0000 0.0000 0.2622
Se2 Se 0.0089 0.5044 0.2539
```

---

Entry 6:
Calculated powder diffraction line list
Compound: Li4Er3Ge4
Radiation: Cu Kα X-rays
Structure: a crystal structure in Alexandria, relaxed with PBE
Intensities are scaled so that the largest is 100.

Main lines, sorted by position (2θ from 10° to 90°):
- 2θ 21.7, intensity 29
- 2θ 23.0, intensity 23
- 2θ 26.6, intensity 34
- 2θ 28.1, intensity 20
- 2θ 34.3, intensity 28
- 2θ 34.6, intensity 77
- 2θ 35.5, intensity 100
- 2θ 42.2, intensity 25

Crystal structure
```
data_Li4Er3Ge4
_chemical_formula_sum 'Li8 Er6 Ge8'
_space_group_name_H-M_alt 'I m m m'
_space_group_IT_number 71
_space_group_name_Hall '-I 2 2'
_cell_length_a 4.286
_cell_length_b 6.694
_cell_length_c 14.184
_cell_angle_alpha 90.00
_cell_angle_beta 90.00
_cell_angle_gamma 90.00
loop_
_atom_site_label
_atom_site_type_symbol
_atom_site_fract_x
_atom_site_fract_y
_atom_site_fract_z
Li1 Li 0.000 0.190 0.173
Er1 Er 0.000 0.000 0.372
Er2 Er 0.000 0.500 0.500
Ge1 Ge 0.000 0.308 0.000
Ge2 Ge 0.000 0.500 0.285
```

---

Entry 7:
Calculated powder diffraction line list
Compound: PrY3Ga2
Radiation: Cu Kα X-rays
Structure: a crystal structure in Alexandria, relaxed with PBE
Intensities are scaled so that the largest is 100.

Main lines, sorted by position (2θ from 10° to 90°):
- 2θ 29.0, intensity 44
- 2θ 30.9, intensity 33
- 2θ 32.3, intensity 64
- 2θ 32.6, intensity 33
- 2θ 33.1, intensity 96
- 2θ 33.6, intensity 100
- 2θ 36.0, intensity 65
- 2θ 38.9, intensity 25

Crystal structure
```
data_PrY3Ga2
_chemical_formula_sum 'Pr2 Y6 Ga4'
_space_group_name_H-M_alt 'P m c 21'
_space_group_IT_number 26
_cell_length_a 4.992
_cell_length_b 9.653
_cell_length_c 6.669
_cell_angle_alpha 90.00
_cell_angle_beta 90.00
_cell_angle_gamma 90.00
loop_
_space_group_symop_operation_xyz
'x,y,z'
'-x,-y,z+1/2'
'-x,y,z'
'x,-y,z+1/2'
loop_
_atom_site_label
_atom_site_type_symbol
_atom_site_fract_x
_atom_site_fract_y
_atom_site_fract_z
Pr1 Pr 0.000 0.051 0.000
Y1 Y 0.000 0.325 0.625
Y2 Y 0.500 0.187 0.290
Y3 Y 0.500 0.445 0.921
Ga1 Ga 0.000 0.364 0.168
Ga2 Ga 0.500 0.142 0.745
```

---

Entry 8:
Calculated powder diffraction line list
Compound: Ce3SmHg6
Radiation: Cu Kα X-rays
Structure: a crystal structure in Alexandria, relaxed with PBE
Intensities are scaled so that the largest is 100.

Main lines, sorted by position (2θ from 10° to 90°):
- 2θ 24.7, intensity 18
- 2θ 26.1, intensity 25
- 2θ 29.0, intensity 65
- 2θ 33.6, intensity 100
- 2θ 37.0, intensity 26
- 2θ 38.3, intensity 16
- 2θ 39.4, intensity 36
- 2θ 64.9, intensity 14

Crystal structure
```
data_Ce3SmHg6
_chemical_formula_sum 'Ce9 Sm3 Hg18'
_space_group_name_H-M_alt 'R 3 m'
_space_group_IT_number 160
_space_group_name_Hall 'R 3 -2"'
_cell_length_a 11.8240
_cell_length_b 11.8240
_cell_length_c 7.6934
_cell_angle_alpha 90.00
_cell_angle_beta 90.00
_cell_angle_gamma 120.00
loop_
_atom_site_label
_atom_site_type_symbol
_atom_site_fract_x
_atom_site_fract_y
_atom_site_fract_z
Ce1 Ce 0.2070 0.1035 0.0000
Sm1 Sm 0.0000 0.0000 0.3594
Hg1 Hg 0.0227 0.5114 0.8967
Hg2 Hg 0.0874 0.1747 0.6845
```